No. 1
For Zr6Be15Pd8, a GGA-PBE-relaxed structure gives the calculated powder diffraction line list in this record (λ = 1.5418 Å (Cu Kα)).
Peak positions follow from Bragg's law for the DFT cell and can differ from measured ones.

Cell and atoms:
abc: 11.4768 11.4768 11.4768
angles: 90.00 90.00 90.00
Space group Fm-3m (No. 225)
Unique sites:
Zr  0.0000  0.0000  0.1975 [24 per cell]
Be  0.0000  0.0000  0.5000 [4 per cell]
Be  0.0000  0.2500  0.2500 [24 per cell]
Be  0.1746  0.1746  0.1746 [32 per cell]
Pd  0.1252  0.1252  0.3748 [32 per cell]

Most intense lines, 2θ from 5° to 70°, most intense first:
hkl 4 4 0, 2.029 Å, I = 100; hkl 3 3 1, 2.633 Å, I = 90; hkl 5 1 1, 2.209 Å, I = 71; hkl 3 1 1, 3.460 Å, I = 41; hkl 2 2 2, 3.313 Å, I = 31; hkl 7 3 3, 1.402 Å, I = 24; hkl 2 0 0, 5.738 Å, I = 17; hkl 4 0 0, 2.869 Å, I = 17; hkl 1 1 1, 6.626 Å, I = 16; hkl 4 2 2, 2.343 Å, I = 15; hkl 5 3 1, 1.940 Å, I = 14; hkl 8 0 0, 1.435 Å, I = 13


No. 2
For InPd3, a GGA-PBE-relaxed structure gives the calculated powder diffraction line list in this record (λ = 1.5418 Å (Cu Kα)).
Peak positions follow from Bragg's law for the DFT cell and can differ from measured ones.

Cell and atoms:
abc: 3.3713 3.3713 5.8958
angles: 90.00 90.00 90.00
Space group P4/mmm (No. 123)
Unique sites:
In  0.0000  0.0000  0.0000 [1 per cell]
Pd  0.0000  0.0000  0.5000 [1 per cell]
Pd  0.5000  0.5000  0.2494 [2 per cell]

Most intense lines, 2θ from 5° to 70°, most intense first:
hkl 1 0 2, 2.219 Å, I = 100; hkl 1 1 0, 2.384 Å, I = 62; hkl 2 0 0, 1.686 Å, I = 21; hkl 0 0 4, 1.474 Å, I = 7


No. 3
For WCl6, a GGA-PBE-relaxed structure gives the calculated powder diffraction line list in this record (λ = 1.5418 Å (Cu Kα)).
Peak positions follow from Bragg's law for the DFT cell and can differ from measured ones.

Cell and atoms:
abc: 11.2747 11.2747 6.2154
angles: 90.00 90.00 120.00
Space group P-3m1 (No. 164)
Unique sites:
W  0.0000  0.0000  0.0000 [1 per cell]
W  0.3333  0.6667  0.4628 [2 per cell]
Cl  0.0965  0.1930  0.2143 [6 per cell]
Cl  0.1405  0.5702  0.2482 [6 per cell]
Cl  0.2367  0.4734  0.6768 [6 per cell]

Most intense lines, 2θ from 5° to 70°, most intense first:
hkl 1 1 0, 5.637 Å, I = 100; hkl 0 1 1, 5.243 Å, I = 71; hkl 2 0 1, 3.839 Å, I = 29; hkl 3 0 1, 2.883 Å, I = 25; hkl 3 0 2, 2.248 Å, I = 25; hkl 1 2 1, 3.173 Å, I = 21; hkl 3 1 1, 2.483 Å, I = 17; hkl 2 2 2, 2.088 Å, I = 14; hkl 4 1 2, 1.757 Å, I = 14; hkl 3 3 0, 1.879 Å, I = 13; hkl 1 1 2, 2.722 Å, I = 13; hkl 1 2 3, 1.807 Å, I = 12


No. 4
For BaCdAsF, a GGA-PBE-relaxed structure gives the calculated powder diffraction line list in this record (λ = 1.5418 Å (Cu Kα)).
Peak positions follow from Bragg's law for the DFT cell and can differ from measured ones.

Cell and atoms:
abc: 4.4832 4.4832 9.6534
angles: 90.00 90.00 90.00
Space group P4/nmm (No. 129, origin choice 2)
Unique sites:
Ba  0.2500  0.2500  0.1549 [2 per cell]
Cd  0.2500  0.7500  0.5000 [2 per cell]
As  0.2500  0.2500  0.6781 [2 per cell]
F  0.2500  0.7500  0.0000 [2 per cell]

Most intense lines, 2θ from 5° to 70°, most intense first:
hkl 1 0 2, 3.285 Å, I = 100; hkl 1 1 2, 2.650 Å, I = 89; hkl 2 0 0, 2.242 Å, I = 61; hkl 1 1 1, 3.012 Å, I = 43; hkl 1 1 4, 1.920 Å, I = 39; hkl 2 1 2, 1.852 Å, I = 38; hkl 0 0 1, 9.653 Å, I = 25; hkl 1 0 4, 2.125 Å, I = 24; hkl 3 1 2, 1.360 Å, I = 21; hkl 2 2 0, 1.585 Å, I = 20; hkl 2 1 4, 1.542 Å, I = 17; hkl 0 0 3, 3.218 Å, I = 15


No. 5
For CrGaTe, a GGA-PBE-relaxed structure gives the calculated powder diffraction line list in this record (λ = 1.5418 Å (Cu Kα)).
Peak positions follow from Bragg's law for the DFT cell and can differ from measured ones.

Cell and atoms:
abc: 6.7162 6.7162 6.7162
angles: 90.00 90.00 90.00
Space group F-43m (No. 216)
Unique sites:
Cr  0.0000  0.0000  0.0000 [4 per cell]
Ga  0.2500  0.2500  0.7500 [4 per cell]
Te  0.0000  0.0000  0.5000 [4 per cell]

Most intense lines, 2θ from 5° to 70°, most intense first:
hkl 2 2 0, 2.375 Å, I = 100; hkl 1 1 1, 3.878 Å, I = 40; hkl 4 2 2, 1.371 Å, I = 33; hkl 2 0 0, 3.358 Å, I = 23; hkl 3 1 1, 2.025 Å, I = 21; hkl 4 0 0, 1.679 Å, I = 17; hkl 3 3 1, 1.541 Å, I = 9; hkl 4 2 0, 1.502 Å, I = 8; hkl 2 2 2, 1.939 Å, I = 6


No. 6
For RbFeI4, a GGA-PBE-relaxed structure gives the calculated powder diffraction line list in this record (λ = 1.5418 Å (Cu Kα)).
Peak positions follow from Bragg's law for the DFT cell and can differ from measured ones.

Cell and atoms:
abc: 7.4435 18.3664 8.4952
angles: 90.00 106.47 90.00
Space group P2_1/c (No. 14)
Unique sites:
Rb  0.1894  0.1312  0.2911 [4 per cell]
Fe  0.1843  0.6276  0.7974 [4 per cell]
I  0.1718  0.1554  0.7897 [4 per cell]
I  0.2679  0.5525  0.5737 [4 per cell]
I  0.2698  0.5522  0.0642 [4 per cell]
I  0.3548  0.7490  0.8562 [4 per cell]

Most intense lines, 2θ from 5° to 70°, most intense first:
hkl 1 5 0, 3.266 Å, I = 100; hkl 0 3 2, 3.390 Å, I = 79; hkl 1 2 -2, 3.721 Å, I = 68; hkl 2 2 -2, 2.995 Å, I = 56; hkl 2 0 0, 3.569 Å, I = 55; hkl 2 5 -4, 1.780 Å, I = 33; hkl 2 4 2, 2.106 Å, I = 30; hkl 2 1 0, 3.503 Å, I = 30; hkl 1 1 2, 3.123 Å, I = 29; hkl 1 8 -2, 1.999 Å, I = 27; hkl 0 4 2, 3.046 Å, I = 26; hkl 1 0 -4, 2.124 Å, I = 25